Simulated powder XRD pattern of Na2FeAsO4 for Cu Kα (weighted mean of Kα1 and Kα2), from a PBE+U-relaxed structure.
Kinematic intensities with the Lorentz-polarization factor, no thermal factor.

Peak list (6 most intense, 2θ from 10° to 80°, most intense first)
| (hkl) | 2θ/deg | d/Å | I_rel |
| --- | --- | --- | --- |
| 2 2 -1 | 37.02 | 2.428 | 100 |
| 0 2 1 | 33.58 | 2.669 | 71 |
| 1 1 0 | 20.82 | 4.267 | 57 |
| 1 1 -1 | 21.17 | 4.197 | 44 |
| 0 0 2 | 41.88 | 2.157 | 36 |
| 2 2 -3 | 57.72 | 1.597 | 26 |

a = 6.946 Å, b = 6.794 Å, c = 5.465 Å
α = 90.00°, β = 127.86°, γ = 90.00°
Positions (direct):
Na (0.000, 0.000, 0.000)
Na (0.000, 0.245, 0.500)
Na (0.500, 0.500, 0.000)
Na (0.500, 0.745, 0.500)
Fe (0.000, 0.488, 0.000)
Fe (0.500, 0.988, 0.000)
As (0.000, 0.725, 0.500)
As (0.500, 0.225, 0.500)
O (0.177, 0.558, 0.454)
O (0.240, 0.777, 0.933)
O (0.260, 0.277, 0.067)
O (0.323, 0.058, 0.546)
O (0.677, 0.058, 0.454)
O (0.740, 0.277, 0.933)
O (0.760, 0.777, 0.067)
O (0.823, 0.558, 0.546)